This entry pairs a crystal structure of AcV2HgO7 with its computed powder X-ray diffraction pattern. Radiation: Cu Kα (λ = 1.5418 Å). Structure: a crystal structure in Alexandria, relaxed with GGA+U.
Neutral-atom scattering factors, no anomalous dispersion.

Structure:
a = 11.0369 Å, b = 11.0369 Å, c = 11.0369 Å
α = 160.19°, β = 160.19°, γ = 28.16°
Positions (direct):
Ac 0.0000 0.0000 0.0000
V 0.3964 0.3964 0.0000
V 0.6036 0.6036 0.0000
Hg 0.7500 0.2500 0.5000
O 0.0882 0.5882 0.5000
O 0.3147 0.3147 0.0000
O 0.4118 0.9118 0.5000
O 0.5000 0.5000 0.0000
O 0.5921 0.0921 0.5000
O 0.6853 0.6853 0.0000
O 0.9079 0.4079 0.5000

Peak list (10 most intense, 2θ = 10–80°, in order of rising 2θ)
two_theta  d [Å]  I_rel
16.56  5.353  57
23.80  3.739  58
26.59  3.352  100
31.49  2.841  64
34.43  2.605  76
37.77  2.382  33
42.12  2.145  55
47.91  1.899  35
54.84  1.674  31
55.63  1.652  26